For Dy3Y4Al4, a structure optimized by DFT (GGA-PBE) gives the calculated X-ray diffraction stick pattern in this record (Cu Kα (weighted mean of Kα1 and Kα2)).

Main lines, sorted by position (10 to 90 degrees two-theta):
Position (°2θ)  Rel. int.  (hkl)
18.04  26  1 0 1
23.35  27  1 0 3
28.44  29  0 2 2
29.35  42  0 1 5
30.30  48  1 1 4
31.50  35  1 0 5
32.17  100  1 2 1
34.94  44  2 0 0
38.60  32  1 1 6
46.26  24  2 1 5
60.92  18  3 2 1
69.18  20  1 2 11

Cell and atoms:
```
data_Dy3Y4Al4
_space_group_name_H-M_alt 'I m m m'
_space_group_IT_number 71
_space_group_name_Hall '-I 2 2'
_cell_length_a 5.136
_cell_length_b 6.751
_cell_length_c 17.043
_cell_angle_alpha 90.00
_cell_angle_beta 90.00
_cell_angle_gamma 90.00
loop_
_atom_site_label
_atom_site_fract_x
_atom_site_fract_y
_atom_site_fract_z
Dy1 0.000 0.000 0.000
Dy2 0.000 0.500 0.098
Y1 0.000 0.264 0.320
Al1 0.000 0.000 0.173
Al2 0.000 0.203 0.500
```


For SmZn5Cu7, a structure optimized by DFT (GGA-PBE) gives the calculated X-ray diffraction stick pattern in this record (Cu Kα (weighted mean of Kα1 and Kα2)).

Main lines, sorted by position (10 to 90 degrees two-theta):
Position (°2θ)  Rel. int.  (hkl)
29.09  12  1 2 1
29.18  10  1 1 2
35.76  17  1 3 0
35.93  18  1 0 3
36.14  13  2 0 0
41.38  25  0 4 0
41.61  100  0 0 4
41.86  58  2 2 0
46.62  12  0 4 2
47.00  29  2 2 2
68.72  16  3 2 3
75.64  8  1 6 3

Cell and atoms:
```
data_SmZn5Cu7
_space_group_name_H-M_alt 'I m m 2'
_space_group_IT_number 44
_cell_length_a 4.971
_cell_length_b 8.727
_cell_length_c 8.675
_cell_angle_alpha 90.00
_cell_angle_beta 90.00
_cell_angle_gamma 90.00
loop_
_space_group_symop_operation_xyz
'x,y,z'
'-x,-y,z'
'-x,y,z'
'x,-y,z'
'x+1/2,y+1/2,z+1/2'
'-x+1/2,-y+1/2,z+1/2'
'-x+1/2,y+1/2,z+1/2'
'x+1/2,-y+1/2,z+1/2'
loop_
_atom_site_label
_atom_site_fract_x
_atom_site_fract_y
_atom_site_fract_z
Sm1 0.000 0.000 0.000
Zn1 0.000 0.500 0.273
Zn2 0.249 0.253 0.743
Cu1 0.000 0.000 0.353
Cu2 0.000 0.000 0.642
Cu3 0.000 0.276 0.493
Cu4 0.000 0.355 0.993
Cu5 0.000 0.500 0.716
```


For Pm5DyY8, a structure optimized by DFT (GGA-PBE) gives the calculated X-ray diffraction stick pattern in this record (Cu Kα (weighted mean of Kα1 and Kα2)).

Main lines, sorted by position (10 to 90 degrees two-theta):
Position (°2θ)  Rel. int.  (hkl)
22.38  33  2 1 1
27.92  66  1 0 3
29.12  77  3 0 1
29.27  86  3 1 0
31.59  22  2 2 2
33.64  100  1 2 3
34.28  48  1 3 2
34.66  55  2 3 1
41.87  24  2 4 0
54.74  20  5 0 3
58.92  19  1 6 1
62.75  25  3 1 6

Cell and atoms:
```
data_Pm5DyY8
_space_group_name_H-M_alt 'I -4'
_space_group_IT_number 82
_cell_length_a 9.650
_cell_length_b 9.650
_cell_length_c 10.160
_cell_angle_alpha 90.00
_cell_angle_beta 90.00
_cell_angle_gamma 90.00
loop_
_space_group_symop_operation_xyz
'x,y,z'
'y,-x,-z'
'-x,-y,z'
'-y,x,-z'
'x+1/2,y+1/2,z+1/2'
'y+1/2,-x+1/2,-z+1/2'
'-x+1/2,-y+1/2,z+1/2'
'-y+1/2,x+1/2,-z+1/2'
loop_
_atom_site_label
_atom_site_fract_x
_atom_site_fract_y
_atom_site_fract_z
Pm1 0.000 0.000 0.000
Pm2 0.110 0.214 0.422
Dy1 0.000 0.500 0.750
Y1 0.071 0.324 0.095
Y2 0.084 0.177 0.753
```